Entry 1:
CrCuP2O8: calculated powder XRD pattern (Cu Kα (λ = 1.5418 Å)), based on a GGA+U-relaxed structure.

Principal peaks in the range 10 to 90 degrees two-theta, in order of rising 2θ:
| two_theta | d/Å | I_rel |
| --- | --- | --- |
| 17.64 | 5.029 | 565 |
| 19.27 | 4.606 | 1000 |
| 20.82 | 4.266 | 186 |
| 24.03 | 3.704 | 299 |
| 25.73 | 3.463 | 376 |
| 28.42 | 3.141 | 234 |
| 30.16 | 2.964 | 656 |
| 30.58 | 2.924 | 180 |
| 30.77 | 2.906 | 233 |
| 36.04 | 2.492 | 337 |
| 37.10 | 2.423 | 320 |
| 57.10 | 1.613 | 207 |

Atomic structure:
```
CrCuP2O8
1.0
4.9527 0.0000 0.0000
0.0000 5.9273 0.0000
-0.9773 0.0000 10.0572
Cr Cu P O
2 2 4 16
Direct
0.0421 0.2500 0.2881
0.9579 0.7500 0.7119
0.3539 0.2500 0.8045
0.6461 0.7500 0.1955
0.1107 0.7500 0.4024
0.4452 0.7500 0.8930
0.5548 0.2500 0.1070
0.8893 0.2500 0.5976
0.1591 0.7500 0.5543
0.2056 0.2500 0.6311
0.2320 0.5370 0.3405
0.2320 0.9630 0.3405
0.2589 0.2500 0.1305
0.2639 0.5565 0.8207
0.2639 0.9435 0.8207
0.4040 0.7500 0.0420
0.5960 0.2500 0.9580
0.7361 0.0565 0.1793
0.7361 0.4435 0.1793
0.7411 0.7500 0.8695
0.7680 0.0370 0.6595
0.7680 0.4630 0.6595
0.7944 0.7500 0.3689
0.8409 0.2500 0.4457
```

***

Entry 2:
Cr4Cu3P6O24: calculated powder XRD pattern (Cu Kα (λ = 1.5418 Å)), based on a GGA+U-relaxed structure.

Principal peaks in the range 10 to 90 degrees two-theta, in order of rising 2θ:
| two_theta | d/Å | I_rel |
| --- | --- | --- |
| 19.04 | 4.660 | 267 |
| 20.39 | 4.355 | 309 |
| 28.04 | 3.182 | 180 |
| 28.77 | 3.103 | 273 |
| 29.73 | 3.005 | 708 |
| 30.18 | 2.962 | 1000 |
| 30.67 | 2.915 | 339 |
| 32.41 | 2.763 | 195 |
| 33.31 | 2.690 | 273 |
| 33.86 | 2.647 | 230 |
| 35.28 | 2.544 | 206 |
| 59.16 | 1.562 | 236 |

Atomic structure:
```
Cr4Cu3P6O24
1.0
6.3101 0.0000 0.0000
-1.4102 7.8239 0.0000
-2.8226 -3.3228 8.3840
Cr Cu P O
4 3 6 24
Direct
0.0475 0.2106 0.0217
0.3793 0.9573 0.6084
0.6207 0.0427 0.3916
0.9525 0.7894 0.9783
0.0000 0.5000 0.5000
0.2954 0.3239 0.8102
0.7046 0.6761 0.1898
0.0975 0.1059 0.3374
0.2232 0.6461 0.2622
0.3982 0.7359 0.8677
0.6018 0.2641 0.1323
0.7768 0.3539 0.7378
0.9025 0.8941 0.6626
0.0082 0.6865 0.1540
0.0786 0.0534 0.1589
0.1141 0.0214 0.6568
0.1276 0.3072 0.4186
0.2047 0.4447 0.1988
0.2225 0.7040 0.4350
0.2519 0.7943 0.9646
0.2872 0.5323 0.7456
0.3170 0.0507 0.4229
0.3612 0.2407 0.0027
0.4422 0.8551 0.7734
0.4519 0.7611 0.2595
0.5481 0.2389 0.7405
0.5578 0.1449 0.2266
0.6388 0.7593 0.9973
0.6830 0.9493 0.5771
0.7128 0.4677 0.2544
0.7481 0.2057 0.0354
0.7775 0.2960 0.5650
0.7953 0.5553 0.8012
0.8724 0.6928 0.5814
0.8859 0.9786 0.3432
0.9214 0.9466 0.8411
0.9918 0.3135 0.8460
```

***

Entry 3:
Ti3CrCu2P6O24: calculated powder XRD pattern (Cu Kα (λ = 1.5418 Å)), based on a GGA+U-relaxed structure.

Principal peaks in the range 10 to 90 degrees two-theta, in order of rising 2θ:
| two_theta | d/Å | I_rel |
| --- | --- | --- |
| 20.61 | 4.308 | 850 |
| 24.23 | 3.674 | 1000 |
| 25.32 | 3.518 | 213 |
| 32.01 | 2.796 | 161 |
| 32.88 | 2.724 | 823 |
| 36.11 | 2.487 | 363 |
| 47.18 | 1.926 | 325 |
| 49.63 | 1.837 | 268 |
| 56.52 | 1.628 | 389 |
| 62.90 | 1.478 | 232 |
| 64.94 | 1.436 | 135 |
| 85.92 | 1.131 | 128 |

Atomic structure:
```
Ti3CrCu2P6O24
1.0
4.3086 2.4875 7.0318
-4.3086 2.4875 7.0318
0.0000 -4.9751 7.0318
Ti Cr Cu P O
3 1 2 6 24
Direct
0.0000 0.0000 0.0000
0.2145 0.2145 0.2145
0.7134 0.7134 0.7134
0.4986 0.4986 0.4986
0.3579 0.3579 0.3579
0.8572 0.8572 0.8572
0.1083 0.3988 0.8142
0.3160 0.8962 0.6061
0.3988 0.8142 0.1083
0.6061 0.3160 0.8962
0.8142 0.1083 0.3988
0.8962 0.6061 0.3160
0.0503 0.2344 0.8582
0.0905 0.4413 0.2996
0.1240 0.9184 0.7733
0.1625 0.3571 0.9806
0.2344 0.8582 0.0503
0.2723 0.4123 0.6230
0.2996 0.0906 0.4413
0.3486 0.7363 0.5537
0.3571 0.9806 0.1625
0.4123 0.6230 0.2723
0.4413 0.2996 0.0905
0.4811 0.8570 0.6620
0.5537 0.3486 0.7363
0.5897 0.8008 0.9404
0.6230 0.2723 0.4123
0.6620 0.4811 0.8570
0.7363 0.5537 0.3486
0.7733 0.1240 0.9184
0.8008 0.9404 0.5897
0.8570 0.6620 0.4811
0.8582 0.0503 0.2344
0.9184 0.7733 0.1240
0.9404 0.5897 0.8008
0.9806 0.1626 0.3571
```

***

Entry 4:
ZrCrCu2P3O12: calculated powder XRD pattern (Cu Kα (λ = 1.5418 Å)), based on a GGA+U-relaxed structure.

Principal peaks in the range 10 to 90 degrees two-theta, in order of rising 2θ:
| two_theta | d/Å | I_rel |
| --- | --- | --- |
| 19.90 | 4.462 | 974 |
| 20.08 | 4.422 | 898 |
| 23.23 | 3.828 | 1000 |
| 23.41 | 3.800 | 596 |
| 23.48 | 3.788 | 638 |
| 28.12 | 3.174 | 515 |
| 28.36 | 3.148 | 462 |
| 31.68 | 2.825 | 362 |
| 31.77 | 2.817 | 631 |
| 34.56 | 2.595 | 572 |
| 35.18 | 2.551 | 443 |
| 42.63 | 2.121 | 356 |

Atomic structure:
```
ZrCrCu2P3O12
1.0
8.8449 0.0000 0.0000
4.3506 7.7286 0.0000
4.3258 2.6259 7.3446
Zr Cr Cu P O
2 2 4 6 24
Direct
0.0000 0.0000 0.0000
0.2794 0.1536 0.2902
0.4940 0.5005 0.5004
0.7807 0.6489 0.7886
0.3527 0.6810 0.8740
0.5231 0.0952 0.7926
0.7485 0.0546 0.4973
0.9963 0.5511 0.2604
0.1052 0.8124 0.6754
0.1708 0.3383 0.6105
0.3982 0.8159 0.1100
0.5940 0.3323 0.8863
0.6769 0.8138 0.4063
0.8750 0.3361 0.1822
0.0056 0.5042 0.6463
0.0379 0.3384 0.2081
0.0991 0.8158 0.8552
0.1331 0.9924 0.5197
0.1423 0.1572 0.7675
0.1897 0.3336 0.4283
0.2348 0.8198 0.0818
0.2664 0.6434 0.6419
0.3434 0.9963 0.1401
0.3566 0.3317 0.5924
0.4201 0.3198 0.0537
0.4467 0.6442 0.2653
0.5224 0.9918 0.3508
0.5563 0.8294 0.9204
0.5705 0.3222 0.7295
0.6111 0.5197 0.8379
0.6428 0.6395 0.4581
0.7075 0.8249 0.5590
0.7174 0.3204 0.3700
0.7630 0.1692 0.9310
0.8254 0.5042 0.0251
0.8612 0.8121 0.2392
0.9170 0.8168 0.7044
0.9373 0.1528 0.1526
```

***

Copy entry 1 word for word.
CrCuP2O8: calculated powder XRD pattern (Cu Kα (λ = 1.5418 Å)), based on a GGA+U-relaxed structure.

Principal peaks in the range 10 to 90 degrees two-theta, in order of rising 2θ:
| two_theta | d/Å | I_rel |
| --- | --- | --- |
| 17.64 | 5.029 | 565 |
| 19.27 | 4.606 | 1000 |
| 20.82 | 4.266 | 186 |
| 24.03 | 3.704 | 299 |
| 25.73 | 3.463 | 376 |
| 28.42 | 3.141 | 234 |
| 30.16 | 2.964 | 656 |
| 30.58 | 2.924 | 180 |
| 30.77 | 2.906 | 233 |
| 36.04 | 2.492 | 337 |
| 37.10 | 2.423 | 320 |
| 57.10 | 1.613 | 207 |

Atomic structure:
```
CrCuP2O8
1.0
4.9527 0.0000 0.0000
0.0000 5.9273 0.0000
-0.9773 0.0000 10.0572
Cr Cu P O
2 2 4 16
Direct
0.0421 0.2500 0.2881
0.9579 0.7500 0.7119
0.3539 0.2500 0.8045
0.6461 0.7500 0.1955
0.1107 0.7500 0.4024
0.4452 0.7500 0.8930
0.5548 0.2500 0.1070
0.8893 0.2500 0.5976
0.1591 0.7500 0.5543
0.2056 0.2500 0.6311
0.2320 0.5370 0.3405
0.2320 0.9630 0.3405
0.2589 0.2500 0.1305
0.2639 0.5565 0.8207
0.2639 0.9435 0.8207
0.4040 0.7500 0.0420
0.5960 0.2500 0.9580
0.7361 0.0565 0.1793
0.7361 0.4435 0.1793
0.7411 0.7500 0.8695
0.7680 0.0370 0.6595
0.7680 0.4630 0.6595
0.7944 0.7500 0.3689
0.8409 0.2500 0.4457
```

***

Copy entry 2 word for word.
Cr4Cu3P6O24: calculated powder XRD pattern (Cu Kα (λ = 1.5418 Å)), based on a GGA+U-relaxed structure.

Principal peaks in the range 10 to 90 degrees two-theta, in order of rising 2θ:
| two_theta | d/Å | I_rel |
| --- | --- | --- |
| 19.04 | 4.660 | 267 |
| 20.39 | 4.355 | 309 |
| 28.04 | 3.182 | 180 |
| 28.77 | 3.103 | 273 |
| 29.73 | 3.005 | 708 |
| 30.18 | 2.962 | 1000 |
| 30.67 | 2.915 | 339 |
| 32.41 | 2.763 | 195 |
| 33.31 | 2.690 | 273 |
| 33.86 | 2.647 | 230 |
| 35.28 | 2.544 | 206 |
| 59.16 | 1.562 | 236 |

Atomic structure:
```
Cr4Cu3P6O24
1.0
6.3101 0.0000 0.0000
-1.4102 7.8239 0.0000
-2.8226 -3.3228 8.3840
Cr Cu P O
4 3 6 24
Direct
0.0475 0.2106 0.0217
0.3793 0.9573 0.6084
0.6207 0.0427 0.3916
0.9525 0.7894 0.9783
0.0000 0.5000 0.5000
0.2954 0.3239 0.8102
0.7046 0.6761 0.1898
0.0975 0.1059 0.3374
0.2232 0.6461 0.2622
0.3982 0.7359 0.8677
0.6018 0.2641 0.1323
0.7768 0.3539 0.7378
0.9025 0.8941 0.6626
0.0082 0.6865 0.1540
0.0786 0.0534 0.1589
0.1141 0.0214 0.6568
0.1276 0.3072 0.4186
0.2047 0.4447 0.1988
0.2225 0.7040 0.4350
0.2519 0.7943 0.9646
0.2872 0.5323 0.7456
0.3170 0.0507 0.4229
0.3612 0.2407 0.0027
0.4422 0.8551 0.7734
0.4519 0.7611 0.2595
0.5481 0.2389 0.7405
0.5578 0.1449 0.2266
0.6388 0.7593 0.9973
0.6830 0.9493 0.5771
0.7128 0.4677 0.2544
0.7481 0.2057 0.0354
0.7775 0.2960 0.5650
0.7953 0.5553 0.8012
0.8724 0.6928 0.5814
0.8859 0.9786 0.3432
0.9214 0.9466 0.8411
0.9918 0.3135 0.8460
```